Starting from a PBE-relaxed structure, the PXRD pattern of SrPtCl6 was computed for Cu Kα (weighted mean of Kα1 and Kα2).

Principal peaks in the range 2θ = 5–70°, most intense first:
Position (°2θ)	I_rel
16.3	100
29.2	25
35.5	18
24.0	18
27.9	16
24.3	15

Atomic structure:
```
SrPtCl6
1.0
5.2416 -4.0400 0.0000
5.2416 4.0400 0.0000
-0.1112 0.0000 10.3881
Sr Pt Cl
2 2 12
Cartesian
5.1582 3.9010 7.7911 Sr
5.2138 -3.9010 2.5970 Sr
2.5652 2.0200 5.1941 Pt
2.6208 -2.0200 0.0000 Pt
3.5267 1.6912 3.0777 Cl
1.8404 0.2024 0.0095 Cl
1.7848 -0.2024 5.2035 Cl
4.5722 1.4033 6.2420 Cl
5.7442 1.4033 9.3402 Cl
6.9009 1.6912 2.1164 Cl
3.4711 -1.6912 8.2717 Cl
4.6278 -1.4033 1.0479 Cl
5.7998 -1.4033 4.1462 Cl
8.5872 0.2024 5.1846 Cl
8.5316 -0.2024 10.3786 Cl
6.8453 -1.6912 7.3104 Cl
```